The following is a theoretical powder X-ray diffraction pattern of CeCdSnO. It was derived from a structure optimized by DFT (PBE), using Cu Kα, 1.54184 Å.
Neutral-atom scattering factors, no anomalous dispersion.

Cell and atoms:
```
data_CeCdSnO
_cell_length_a 3.214
_cell_length_b 3.214
_cell_length_c 19.046
_cell_angle_alpha 90.00
_cell_angle_beta 90.00
_cell_angle_gamma 90.00
_space_group_name_H-M_alt 'P 1'
_space_group_IT_number 1
_space_group_name_Hall 'P 1'
loop_
_atom_site_label
_atom_site_type_symbol
_atom_site_fract_x
_atom_site_fract_y
_atom_site_fract_z
_atom_site_occupancy
Ce1 Ce 0.000 0.000 0.000 1
Ce2 Ce 0.500 0.500 0.500 1
Cd1 Cd 0.000 0.000 0.293 1
Cd2 Cd 0.500 0.500 0.793 1
Sn1 Sn 0.000 0.000 0.652 1
Sn2 Sn 0.500 0.500 0.152 1
O1 O 0.000 0.000 0.468 1
O2 O 0.500 0.500 0.968 1
```

Largest 12 diffraction maxima, sorted by position, 2θ from 10° to 90°:
- 18.64°, I = 10.0
- 28.11°, I = 29.7
- 31.19°, I = 100.0
- 36.58°, I = 14.6
- 39.66°, I = 34.4
- 49.32°, I = 24.3
- 51.72°, I = 10.3
- 57.34°, I = 11.5
- 60.77°, I = 14.6
- 65.06°, I = 10.6
- 66.73°, I = 23.0
- 88.39°, I = 10.1

The following is a theoretical powder X-ray diffraction pattern of Ce4CdP5. It was derived from a structure optimized by DFT (PBE), using Cu Kα, 1.54184 Å.
Neutral-atom scattering factors, no anomalous dispersion.

Cell and atoms:
```
data_Ce4CdP5
_cell_length_a 16.165
_cell_length_b 16.165
_cell_length_c 16.165
_cell_angle_alpha 14.66
_cell_angle_beta 14.66
_cell_angle_gamma 14.66
_space_group_name_H-M_alt 'P 1'
_space_group_IT_number 1
_space_group_name_Hall 'P 1'
loop_
_atom_site_label
_atom_site_type_symbol
_atom_site_fract_x
_atom_site_fract_y
_atom_site_fract_z
_atom_site_occupancy
Ce1 Ce 0.104 0.104 0.104 1
Ce2 Ce 0.299 0.299 0.299 1
Ce3 Ce 0.701 0.701 0.701 1
Ce4 Ce 0.896 0.896 0.896 1
Cd1 Cd 0.500 0.500 0.500 1
P1 P 0.000 0.000 0.000 1
P2 P 0.198 0.198 0.198 1
P3 P 0.403 0.403 0.403 1
P4 P 0.597 0.597 0.597 1
P5 P 0.802 0.802 0.802 1
```

Largest 12 diffraction maxima, sorted by position, 2θ from 10° to 90°:
- 26.63°, I = 58.8
- 27.90°, I = 16.3
- 31.22°, I = 100.0
- 43.90°, I = 39.5
- 45.56°, I = 31.5
- 52.09°, I = 9.7
- 52.82°, I = 17.2
- 54.85°, I = 19.6
- 65.12°, I = 10.6
- 72.77°, I = 16.7
- 75.19°, I = 12.1
- 81.88°, I = 11.3

The following is a theoretical powder X-ray diffraction pattern of Ce4PaCd. It was derived from a structure optimized by DFT (PBE), using Cu Kα, 1.54184 Å.
Neutral-atom scattering factors, no anomalous dispersion.

Cell and atoms:
```
data_Ce4PaCd
_cell_length_a 3.265
_cell_length_b 3.265
_cell_length_c 14.595
_cell_angle_alpha 90.00
_cell_angle_beta 90.00
_cell_angle_gamma 90.00
_space_group_name_H-M_alt 'P 1'
_space_group_IT_number 1
_space_group_name_Hall 'P 1'
loop_
_atom_site_label
_atom_site_type_symbol
_atom_site_fract_x
_atom_site_fract_y
_atom_site_fract_z
_atom_site_occupancy
Ce1 Ce 0.000 0.000 0.161 1
Ce2 Ce 0.000 0.000 0.839 1
Ce3 Ce 0.500 0.500 0.331 1
Ce4 Ce 0.500 0.500 0.669 1
Pa1 Pa 0.500 0.500 0.000 1
Cd1 Cd 0.000 0.000 0.500 1
```

Largest 12 diffraction maxima, sorted by position, 2θ from 10° to 90°:
- 12.13°, I = 1.5
- 18.24°, I = 1.6
- 33.04°, I = 100.0
- 36.95°, I = 20.6
- 39.02°, I = 31.9
- 54.82°, I = 23.4
- 56.36°, I = 10.9
- 64.12°, I = 14.4
- 66.91°, I = 25.9
- 69.33°, I = 12.4
- 78.67°, I = 2.1
- 83.81°, I = 3.6

The following is a theoretical powder X-ray diffraction pattern of CePu2Cd2Pb2. It was derived from a structure optimized by DFT (PBE), using Cu Kα, 1.54184 Å.
Neutral-atom scattering factors, no anomalous dispersion.

Cell and atoms:
```
data_CePu2Cd2Pb2
_cell_length_a 8.933
_cell_length_b 8.933
_cell_length_c 8.933
_cell_angle_alpha 33.53
_cell_angle_beta 33.53
_cell_angle_gamma 33.53
_space_group_name_H-M_alt 'P 1'
_space_group_IT_number 1
_space_group_name_Hall 'P 1'
loop_
_atom_site_label
_atom_site_type_symbol
_atom_site_fract_x
_atom_site_fract_y
_atom_site_fract_z
_atom_site_occupancy
Ce1 Ce 0.000 0.000 0.000 1
Pu1 Pu 0.144 0.144 0.144 1
Pu2 Pu 0.856 0.856 0.856 1
Cd1 Cd 0.433 0.433 0.433 1
Cd2 Cd 0.567 0.567 0.567 1
Pb1 Pb 0.272 0.272 0.272 1
Pb2 Pb 0.728 0.728 0.728 1
```

Largest 12 diffraction maxima, sorted by position, 2θ from 10° to 90°:
- 10.50°, I = 10.7
- 31.89°, I = 100.0
- 34.82°, I = 96.7
- 47.93°, I = 34.2
- 54.88°, I = 20.0
- 60.60°, I = 32.2
- 62.43°, I = 19.8
- 66.28°, I = 10.1
- 66.66°, I = 12.4
- 73.52°, I = 10.4
- 77.45°, I = 11.8
- 82.37°, I = 14.3

The following is a theoretical powder X-ray diffraction pattern of CeCd10Pd2. It was derived from a structure optimized by DFT (PBE), using Cu Kα, 1.54184 Å.
Neutral-atom scattering factors, no anomalous dispersion.

Cell and atoms:
```
data_CeCd10Pd2
_cell_length_a 9.996
_cell_length_b 7.657
_cell_length_c 7.569
_cell_angle_alpha 82.07
_cell_angle_beta 49.35
_cell_angle_gamma 48.58
_space_group_name_H-M_alt 'P 1'
_space_group_IT_number 1
_space_group_name_Hall 'P 1'
loop_
_atom_site_label
_atom_site_type_symbol
_atom_site_fract_x
_atom_site_fract_y
_atom_site_fract_z
_atom_site_occupancy
Ce1 Ce 0.000 0.000 0.000 1
Cd1 Cd 0.000 0.500 0.000 1
Cd2 Cd 0.016 0.655 0.345 1
Cd3 Cd 0.287 0.508 0.492 1
Cd4 Cd 0.345 0.984 0.016 1
Cd5 Cd 0.492 0.713 0.287 1
Cd6 Cd 0.500 0.000 0.500 1
Cd7 Cd 0.508 0.287 0.713 1
Cd8 Cd 0.655 0.016 0.984 1
Cd9 Cd 0.713 0.492 0.508 1
Cd10 Cd 0.984 0.345 0.655 1
Pd1 Pd 0.000 0.000 0.500 1
Pd2 Pd 0.500 0.500 0.000 1
```

Largest 12 diffraction maxima, sorted by position, 2θ from 10° to 90°:
- 31.16°, I = 45.4
- 31.64°, I = 16.0
- 35.92°, I = 100.0
- 36.27°, I = 54.6
- 36.51°, I = 65.0
- 40.13°, I = 19.5
- 40.59°, I = 26.5
- 40.76°, I = 38.1
- 40.98°, I = 27.9
- 59.41°, I = 12.4
- 64.33°, I = 12.6
- 64.99°, I = 35.6

The following is a theoretical powder X-ray diffraction pattern of CeCdPd5. It was derived from a structure optimized by DFT (PBE), using Cu Kα, 1.54184 Å.
Neutral-atom scattering factors, no anomalous dispersion.

Cell and atoms:
```
data_CeCdPd5
_cell_length_a 5.763
_cell_length_b 8.087
_cell_length_c 5.688
_cell_angle_alpha 90.00
_cell_angle_beta 90.00
_cell_angle_gamma 90.00
_space_group_name_H-M_alt 'P 1'
_space_group_IT_number 1
_space_group_name_Hall 'P 1'
loop_
_atom_site_label
_atom_site_type_symbol
_atom_site_fract_x
_atom_site_fract_y
_atom_site_fract_z
_atom_site_occupancy
Ce1 Ce 0.000 0.000 0.000 1
Ce2 Ce 0.500 0.500 0.000 1
Cd1 Cd 0.000 0.500 0.500 1
Cd2 Cd 0.500 0.000 0.500 1
Pd1 Pd 0.000 0.500 0.000 1
Pd2 Pd 0.250 0.250 0.255 1
Pd3 Pd 0.250 0.250 0.745 1
Pd4 Pd 0.250 0.750 0.255 1
Pd5 Pd 0.250 0.750 0.745 1
Pd6 Pd 0.500 0.000 0.000 1
Pd7 Pd 0.750 0.250 0.255 1
Pd8 Pd 0.750 0.250 0.745 1
Pd9 Pd 0.750 0.750 0.255 1
Pd10 Pd 0.750 0.750 0.745 1
```

Largest 12 diffraction maxima, sorted by position, 2θ from 10° to 90°:
- 15.58°, I = 10.5
- 24.59°, I = 21.5
- 38.36°, I = 100.0
- 38.71°, I = 97.2
- 44.80°, I = 95.8
- 64.71°, I = 10.4
- 65.23°, I = 40.6
- 78.02°, I = 24.1
- 78.32°, I = 12.0
- 78.54°, I = 11.8
- 78.68°, I = 23.4
- 82.16°, I = 10.6

The following is a theoretical powder X-ray diffraction pattern of Ce4Cd5Pd2. It was derived from a structure optimized by DFT (PBE), using Cu Kα, 1.54184 Å.
Neutral-atom scattering factors, no anomalous dispersion.

Cell and atoms:
```
data_Ce4Cd5Pd2
_cell_length_a 7.838
_cell_length_b 3.586
_cell_length_c 9.989
_cell_angle_alpha 90.00
_cell_angle_beta 94.09
_cell_angle_gamma 90.00
_space_group_name_H-M_alt 'P 1'
_space_group_IT_number 1
_space_group_name_Hall 'P 1'
loop_
_atom_site_label
_atom_site_type_symbol
_atom_site_fract_x
_atom_site_fract_y
_atom_site_fract_z
_atom_site_occupancy
Ce1 Ce 0.164 0.000 0.363 1
Ce2 Ce 0.239 0.000 0.947 1
Ce3 Ce 0.761 0.000 0.053 1
Ce4 Ce 0.836 0.000 0.637 1
Cd1 Cd 0.194 0.500 0.656 1
Cd2 Cd 0.449 0.500 0.192 1
Cd3 Cd 0.500 0.500 0.500 1
Cd4 Cd 0.551 0.500 0.808 1
Cd5 Cd 0.806 0.500 0.344 1
Pd1 Pd 0.066 0.500 0.139 1
Pd2 Pd 0.934 0.500 0.861 1
```

Largest 12 diffraction maxima, sorted by position, 2θ from 10° to 90°:
- 32.37°, I = 100.0
- 33.29°, I = 98.2
- 33.92°, I = 75.1
- 34.42°, I = 40.2
- 34.96°, I = 58.4
- 35.56°, I = 55.5
- 36.74°, I = 72.5
- 36.89°, I = 58.8
- 37.09°, I = 59.7
- 37.77°, I = 68.3
- 50.92°, I = 46.3
- 55.48°, I = 36.9

The following is a theoretical powder X-ray diffraction pattern of Ce2CdPd. It was derived from a structure optimized by DFT (PBE), using Cu Kα, 1.54184 Å.
Neutral-atom scattering factors, no anomalous dispersion.

Cell and atoms:
```
data_Ce2CdPd
_cell_length_a 6.309
_cell_length_b 9.182
_cell_length_c 6.381
_cell_angle_alpha 90.00
_cell_angle_beta 90.00
_cell_angle_gamma 90.00
_space_group_name_H-M_alt 'P 1'
_space_group_IT_number 1
_space_group_name_Hall 'P 1'
loop_
_atom_site_label
_atom_site_type_symbol
_atom_site_fract_x
_atom_site_fract_y
_atom_site_fract_z
_atom_site_occupancy
Ce1 Ce 0.250 0.021 0.250 1
Ce2 Ce 0.250 0.479 0.250 1
Ce3 Ce 0.250 0.521 0.750 1
Ce4 Ce 0.250 0.979 0.750 1
Ce5 Ce 0.750 0.021 0.250 1
Ce6 Ce 0.750 0.479 0.250 1
Ce7 Ce 0.750 0.521 0.750 1
Ce8 Ce 0.750 0.979 0.750 1
Cd1 Cd 0.000 0.250 0.543 1
Cd2 Cd 0.000 0.750 0.457 1
Cd3 Cd 0.500 0.250 0.957 1
Cd4 Cd 0.500 0.750 0.043 1
Pd1 Pd 0.000 0.250 0.000 1
Pd2 Pd 0.000 0.750 0.000 1
Pd3 Pd 0.500 0.250 0.500 1
Pd4 Pd 0.500 0.750 0.500 1
```

Largest 12 diffraction maxima, sorted by position, 2θ from 10° to 90°:
- 32.44°, I = 9.1
- 34.22°, I = 95.4
- 34.50°, I = 100.0
- 39.25°, I = 31.2
- 40.20°, I = 63.4
- 57.44°, I = 37.4
- 58.52°, I = 11.1
- 67.93°, I = 10.2
- 68.10°, I = 9.8
- 69.08°, I = 19.8
- 69.57°, I = 23.5
- 72.75°, I = 9.8

Which formula does entry 8 have? Ce2CdPd